(1)
Structure and simulated XRD peak list of La4Pm15Er (DFT lattice parameters and positions (PBE); Cu Kα (weighted mean of Kα1 and Kα2)).
Peak positions follow from Bragg's law for the DFT cell and can differ from measured ones.

Principal peaks in the range 15 to 90 degrees two-theta, in order of rising 2θ:
| 2theta | I_rel |
| --- | --- |
| 29.85 | 100 |
| 34.60 | 51 |
| 49.74 | 36 |
| 59.09 | 43 |
| 62.00 | 12 |
| 72.94 | 4 |
| 80.79 | 17 |
| 83.29 | 5 |
| 83.33 | 5 |
| 83.43 | 5 |

Crystal structure
a = 5.1881 Å, b = 5.1881 Å, c = 25.8965 Å
α = 90.00°, β = 90.00°, γ = 90.00°
Fractional positions:
La  0.0000  0.0000  0.1008
La  0.0000  0.0000  0.3014
La  0.0000  0.0000  0.6986
La  0.0000  0.0000  0.8992
Pm  0.0000  0.5000  0.0000
Pm  0.0000  0.5000  0.2012
Pm  0.0000  0.5000  0.4025
Pm  0.0000  0.5000  0.5975
Pm  0.0000  0.5000  0.7988
Pm  0.5000  0.0000  0.0000
Pm  0.5000  0.0000  0.2012
Pm  0.5000  0.0000  0.4025
Pm  0.5000  0.0000  0.5975
Pm  0.5000  0.0000  0.7988
Pm  0.5000  0.5000  0.1006
Pm  0.5000  0.5000  0.3024
Pm  0.5000  0.5000  0.5000
Pm  0.5000  0.5000  0.6976
Pm  0.5000  0.5000  0.8994
Er  0.0000  0.0000  0.5000

=====

(2)
Structure and simulated XRD peak list of Sm5GeTe4 (DFT lattice parameters and positions (PBE); Cu Kα (weighted mean of Kα1 and Kα2)).
Peak positions follow from Bragg's law for the DFT cell and can differ from measured ones.

Principal peaks in the range 15 to 90 degrees two-theta, in order of rising 2θ:
| 2theta | I_rel |
| --- | --- |
| 28.52 | 100 |
| 28.70 | 51 |
| 40.78 | 36 |
| 40.91 | 76 |
| 50.63 | 38 |
| 59.04 | 11 |
| 66.90 | 29 |
| 67.22 | 17 |
| 74.32 | 21 |
| 74.59 | 12 |

Crystal structure
a = 7.6576 Å, b = 7.6576 Å, c = 7.6576 Å
α = 99.50°, β = 99.50°, γ = 132.07°
Fractional positions:
Sm  0.0000  0.0000  0.0000
Sm  0.2228  0.5964  0.8191
Sm  0.4036  0.2228  0.6264
Sm  0.5964  0.7772  0.3736
Sm  0.7772  0.4036  0.1809
Ge  0.5000  0.5000  0.0000
Te  0.0931  0.3048  0.3979
Te  0.3048  0.9069  0.2116
Te  0.6952  0.0931  0.7884
Te  0.9069  0.6952  0.6021

=====

(3)
Structure and simulated XRD peak list of Nd6ErIn2 (DFT lattice parameters and positions (PBE); Cu Kα (weighted mean of Kα1 and Kα2)).
Peak positions follow from Bragg's law for the DFT cell and can differ from measured ones.

Principal peaks in the range 15 to 90 degrees two-theta, in order of rising 2θ:
| 2theta | I_rel |
| --- | --- |
| 28.25 | 44 |
| 30.26 | 100 |
| 32.35 | 21 |
| 34.02 | 34 |
| 34.69 | 39 |
| 36.83 | 26 |
| 48.16 | 14 |
| 59.45 | 15 |
| 60.88 | 13 |
| 61.43 | 12 |

Crystal structure
a = 11.2283 Å, b = 11.2283 Å, c = 5.1723 Å
α = 90.00°, β = 90.00°, γ = 66.11°
Fractional positions:
Nd  0.0053  0.1761  0.2500
Nd  0.0304  0.3652  0.7500
Nd  0.1761  0.0053  0.7500
Nd  0.2813  0.5231  0.7500
Nd  0.3652  0.0304  0.2500
Nd  0.4769  0.7187  0.7500
Nd  0.5231  0.2813  0.2500
Nd  0.6348  0.9696  0.7500
Nd  0.7187  0.4769  0.2500
Nd  0.8239  0.9947  0.2500
Nd  0.9696  0.6348  0.2500
Nd  0.9947  0.8239  0.7500
Er  0.2164  0.7836  0.2500
Er  0.7836  0.2164  0.7500
In  0.2093  0.3574  0.2500
In  0.3574  0.2093  0.7500
In  0.6426  0.7907  0.2500
In  0.7907  0.6426  0.7500

=====

(4)
Structure and simulated XRD peak list of Mg2TlB2Rh5 (DFT lattice parameters and positions (PBE); Cu Kα (weighted mean of Kα1 and Kα2)).
Peak positions follow from Bragg's law for the DFT cell and can differ from measured ones.

Principal peaks in the range 15 to 90 degrees two-theta, in order of rising 2θ:
| 2theta | I_rel |
| --- | --- |
| 18.22 | 53 |
| 20.40 | 27 |
| 32.73 | 33 |
| 36.93 | 38 |
| 38.11 | 36 |
| 40.01 | 49 |
| 41.48 | 70 |
| 42.19 | 100 |
| 76.15 | 35 |
| 77.62 | 27 |

Crystal structure
a = 9.7367 Å, b = 9.7367 Å, c = 2.9815 Å
α = 90.00°, β = 90.00°, γ = 90.00°
Fractional positions:
Mg  0.1770  0.3230  0.0000
Mg  0.3230  0.8230  0.0000
Mg  0.6770  0.1770  0.0000
Mg  0.8230  0.6770  0.0000
Tl  0.0000  0.0000  0.0000
Tl  0.5000  0.5000  0.0000
B  0.1229  0.6229  0.0000
B  0.3771  0.1229  0.0000
B  0.6229  0.8771  0.0000
B  0.8771  0.3771  0.0000
Rh  0.0000  0.5000  0.5000
Rh  0.0704  0.7720  0.5000
Rh  0.2280  0.0704  0.5000
Rh  0.2720  0.5704  0.5000
Rh  0.4296  0.2720  0.5000
Rh  0.5000  0.0000  0.5000
Rh  0.5704  0.7280  0.5000
Rh  0.7280  0.4296  0.5000
Rh  0.7720  0.9296  0.5000
Rh  0.9296  0.2280  0.5000

=====

(5)
Structure and simulated XRD peak list of RbAlH4 (DFT lattice parameters and positions (PBE); Cu Kα (weighted mean of Kα1 and Kα2)).
Peak positions follow from Bragg's law for the DFT cell and can differ from measured ones.

Principal peaks in the range 15 to 90 degrees two-theta, in order of rising 2θ:
| 2theta | I_rel |
| --- | --- |
| 18.22 | 59 |
| 24.80 | 54 |
| 26.91 | 51 |
| 27.72 | 100 |
| 29.98 | 24 |
| 32.95 | 38 |
| 36.92 | 35 |
| 40.72 | 23 |
| 41.68 | 36 |
| 48.04 | 20 |

Crystal structure
a = 7.4295 Å, b = 7.4295 Å, c = 6.6259 Å
α = 90.00°, β = 90.00°, γ = 150.30°
Fractional positions:
Rb  0.1402  0.8598  0.7500
Rb  0.8598  0.1402  0.2500
Al  0.3936  0.6064  0.7500
Al  0.6064  0.3936  0.2500
H  0.1051  0.8949  0.2500
H  0.3309  0.6691  0.5447
H  0.3309  0.6691  0.9553
H  0.4936  0.5064  0.2500
H  0.5064  0.4936  0.7500
H  0.6691  0.3309  0.0447
H  0.6691  0.3309  0.4553
H  0.8949  0.1051  0.7500

=====

(6)
Structure and simulated XRD peak list of DyMnSi2 (DFT lattice parameters and positions (PBE); Cu Kα (weighted mean of Kα1 and Kα2)).
Peak positions follow from Bragg's law for the DFT cell and can differ from measured ones.

Principal peaks in the range 15 to 90 degrees two-theta, in order of rising 2θ:
| 2theta | I_rel |
| --- | --- |
| 21.96 | 41 |
| 26.61 | 43 |
| 27.94 | 36 |
| 32.16 | 100 |
| 34.37 | 75 |
| 36.53 | 40 |
| 38.26 | 53 |
| 47.44 | 31 |
| 51.03 | 31 |
| 63.03 | 29 |

Crystal structure
a = 7.1244 Å, b = 3.8331 Å, c = 9.8384 Å
α = 90.00°, β = 90.00°, γ = 90.00°
Fractional positions:
Dy  0.1399  0.2500  0.1312
Dy  0.3601  0.7500  0.6312
Dy  0.6399  0.2500  0.3688
Dy  0.8601  0.7500  0.8688
Mn  0.0117  0.7500  0.3936
Mn  0.4883  0.2500  0.8936
Mn  0.5117  0.7500  0.1064
Mn  0.9883  0.2500  0.6064
Si  0.1618  0.2500  0.8124
Si  0.2106  0.2500  0.4339
Si  0.2894  0.7500  0.9339
Si  0.3382  0.7500  0.3124
Si  0.6618  0.2500  0.6876
Si  0.7106  0.2500  0.0661
Si  0.7894  0.7500  0.5661
Si  0.8382  0.7500  0.1876

=====

(7)
Structure and simulated XRD peak list of Tl2PdI5 (DFT lattice parameters and positions (PBE); Cu Kα (weighted mean of Kα1 and Kα2)).
Peak positions follow from Bragg's law for the DFT cell and can differ from measured ones.

Principal peaks in the range 15 to 90 degrees two-theta, in order of rising 2θ:
| 2theta | I_rel |
| --- | --- |
| 17.00 | 27 |
| 27.95 | 67 |
| 28.65 | 64 |
| 28.94 | 54 |
| 29.66 | 100 |
| 30.22 | 95 |
| 30.99 | 50 |
| 41.83 | 47 |
| 43.87 | 33 |
| 49.23 | 28 |

Crystal structure
a = 5.9382 Å, b = 7.1841 Å, c = 8.9533 Å
α = 66.64°, β = 85.63°, γ = 66.23°
Fractional positions:
Tl  0.2206  0.0153  0.3379
Tl  0.7794  0.9847  0.6621
Pd  0.5000  0.5000  0.0000
I  0.0000  0.5000  0.0000
I  0.2897  0.9456  0.8601
I  0.4484  0.5011  0.3040
I  0.5516  0.4989  0.6960
I  0.7103  0.0544  0.1399

=====

(8)
Structure and simulated XRD peak list of Th3GaPd2 (DFT lattice parameters and positions (PBE); Cu Kα (weighted mean of Kα1 and Kα2)).
Peak positions follow from Bragg's law for the DFT cell and can differ from measured ones.

Principal peaks in the range 15 to 90 degrees two-theta, in order of rising 2θ:
| 2theta | I_rel |
| --- | --- |
| 27.18 | 100 |
| 38.76 | 54 |
| 38.88 | 46 |
| 47.98 | 21 |
| 53.61 | 17 |
| 56.06 | 16 |
| 63.31 | 18 |
| 70.21 | 25 |
| 79.20 | 13 |
| 81.20 | 9 |

Crystal structure
a = 7.3275 Å, b = 7.3275 Å, c = 7.3275 Å
α = 66.63°, β = 66.63°, γ = 66.63°
Fractional positions:
Th  0.0714  0.7500  0.4286
Th  0.2500  0.5714  0.9286
Th  0.4286  0.0714  0.7500
Th  0.5714  0.9286  0.2500
Th  0.7500  0.4286  0.0714
Th  0.9286  0.2500  0.5714
Ga  0.0000  0.0000  0.0000
Ga  0.5000  0.5000  0.5000
Pd  0.1625  0.1625  0.1625
Pd  0.3375  0.3375  0.3375
Pd  0.6625  0.6625  0.6625
Pd  0.8375  0.8375  0.8375